The following is a theoretical XRD peak list of K2CuTeBr6. It was derived from DFT lattice parameters and positions (GGA-PBE), using CuKα.
Kinematic intensities with the Lorentz-polarization factor, no thermal factor.

Cell and atoms:
a b c (Å): 7.7871 11.0961 7.7848
angles (deg): 90.00 90.00 90.00
Space group Pmmn (No. 59, origin choice 2)
Inequivalent atoms, fractional coordinates:
K (0.2500, 0.0037, 0.2484) x4
Cu (0.2500, 0.2500, 0.7501) x2
Te (0.2500, 0.7500, 0.7492) x2
Br (0.0019, 0.2500, 0.5020) x4
Br (0.0020, 0.2500, 0.9993) x4
Br (0.2500, 0.0317, 0.7503) x4

Main lines, most intense first (5° ≤ 2θ ≤ 70°):
- 2θ = 32.53°, d 2.753, rel. 100, (2 0 2)
- 2θ = 16.10°, d 5.506, rel. 71, (1 0 1)
- 2θ = 28.00°, d 3.187, rel. 69, (2 2 0)
- 2θ = 46.47°, d 1.954, rel. 62, (2 4 2)
- 2θ = 32.27°, d 2.774, rel. 45, (0 4 0)
- 2θ = 15.97°, d 5.548, rel. 40, (0 2 0)
- 2θ = 36.46°, d 2.464, rel. 40, (2 2 2)
- 2θ = 46.66°, d 1.946, rel. 35, (4 0 0)
- 2θ = 57.87°, d 1.593, rel. 32, (4 4 0)
- 2θ = 55.30°, d 1.661, rel. 19, (4 2 2)

---

The following is a theoretical XRD peak list of KTl6Se8. It was derived from DFT lattice parameters and positions (GGA-PBE), using CuKα.
Kinematic intensities with the Lorentz-polarization factor, no thermal factor.

Cell and atoms:
a b c (Å): 13.6810 13.6810 13.6810
angles (deg): 90.00 90.00 90.00
Space group Fm-3m (No. 225)
Inequivalent atoms, fractional coordinates:
K (0.0000, 0.0000, 0.0000) x4
Tl (0.0000, 0.2500, 0.2500) x24
Se (0.1396, 0.1396, 0.1396) x32

Main lines, most intense first (5° ≤ 2θ ≤ 70°):
- 2θ = 22.51°, d 3.949, rel. 100, (2 2 2)
- 2θ = 37.18°, d 2.418, rel. 88, (4 4 0)
- 2θ = 43.90°, d 2.062, rel. 54, (6 2 2)
- 2θ = 12.94°, d 6.840, rel. 39, (2 0 0)
- 2θ = 67.02°, d 1.396, rel. 27, (8 4 4)
- 2θ = 58.85°, d 1.569, rel. 21, (6 6 2)
- 2θ = 18.34°, d 4.837, rel. 18, (2 2 0)
- 2θ = 11.20°, d 7.899, rel. 15, (1 1 1)
- 2θ = 53.59°, d 1.710, rel. 14, (8 0 0)
- 2θ = 28.44°, d 3.139, rel. 14, (3 3 1)

---

The following is a theoretical XRD peak list of SnTe2As2Pd7. It was derived from DFT lattice parameters and positions (GGA-PBE), using CuKα.
Kinematic intensities with the Lorentz-polarization factor, no thermal factor.

Cell and atoms:
a b c (Å): 3.9854 3.9854 29.9808
angles (deg): 90.00 90.00 90.00
Space group I4/mmm (No. 139)
Inequivalent atoms, fractional coordinates:
Sn (0.0000, 0.0000, 0.0000) x2
Te (0.0000, 0.0000, 0.2091) x4
As (0.0000, 0.0000, 0.3807) x4
Pd (0.0000, 0.0000, 0.2993) x4
Pd (0.0000, 0.0000, 0.5000) x2
Pd (0.0000, 0.5000, 0.0701) x8

Main lines, most intense first (5° ≤ 2θ ≤ 70°):
- 2θ = 45.51°, d 1.993, rel. 100, (2 0 0)
- 2θ = 44.10°, d 2.053, rel. 86, (1 1 10)
- 2θ = 36.61°, d 2.455, rel. 82, (1 1 6)
- 2θ = 32.32°, d 2.770, rel. 53, (1 1 2)
- 2θ = 5.90°, d 14.990, rel. 53, (0 0 2)
- 2θ = 40.03°, d 2.252, rel. 40, (1 1 8)
- 2θ = 66.33°, d 1.409, rel. 35, (2 2 0)
- 2θ = 33.99°, d 2.638, rel. 32, (1 1 4)
- 2θ = 63.80°, d 1.459, rel. 32, (2 0 14)
- 2θ = 29.80°, d 2.998, rel. 30, (0 0 10)